Entry 1:
Ga2H2S: calculated PXRD pattern (CuKα), based on a DFT-relaxed cell (PBE, Alexandria).

The 10 most intense peaks (10° ≤ 2θ ≤ 80°), low angle first:
(hkl)	2theta	Rel. int.
1 0 1	16.7	100
1 0 3	24.7	50
0 0 4	25.6	18
2 0 2	33.7	56
2 1 1	35.4	21
1 0 5	35.9	12
2 1 3	40.1	18
2 1 5	48.2	15
2 0 6	50.6	17
2 2 4	52.1	21

Structural model:
```
data_Ga2H2S
_cell_length_a 5.759
_cell_length_b 5.759
_cell_length_c 13.903
_cell_angle_alpha 90.00
_cell_angle_beta 90.00
_cell_angle_gamma 90.00
_symmetry_space_group_name_H-M 'I 41 m d'
_symmetry_Int_Tables_number 109
_symmetry_space_group_name_Hall 'I 4bw -2'
loop_
_atom_site_label
_atom_site_type_symbol
_atom_site_fract_x
_atom_site_fract_y
_atom_site_fract_z
Ga1 Ga 0.000 0.214 0.000
H1 H 0.000 0.298 0.110
S1 S 0.000 0.000 0.641
```

---

Entry 2:
AlAsO: calculated PXRD pattern (CuKα), based on a DFT-relaxed cell (PBE, Alexandria).

The 10 most intense peaks (10° ≤ 2θ ≤ 80°), low angle first:
(hkl)	2theta	Rel. int.
0 2 0	13.3	66
0 2 1	21.8	35
0 4 0	26.9	96
1 1 0	31.5	100
0 0 2	34.8	39
0 2 2	37.5	49
0 6 1	44.5	43
1 5 0	46.3	40
1 1 2	47.7	62
1 5 2	59.2	40

Structural model:
```
data_AlAsO
_cell_length_a 2.910
_cell_length_b 13.282
_cell_length_c 5.149
_cell_angle_alpha 90.00
_cell_angle_beta 90.00
_cell_angle_gamma 90.00
_symmetry_space_group_name_H-M 'C m c 21'
_symmetry_Int_Tables_number 36
loop_
_symmetry_equiv_pos_as_xyz
'x,y,z'
'-x,-y,z+1/2'
'-x,y,z'
'x,-y,z+1/2'
'x+1/2,y+1/2,z'
'-x+1/2,-y+1/2,z+1/2'
'-x+1/2,y+1/2,z'
'x+1/2,-y+1/2,z+1/2'
loop_
_atom_site_label
_atom_site_type_symbol
_atom_site_fract_x
_atom_site_fract_y
_atom_site_fract_z
Al1 Al 0.000 0.196 0.000
As1 As 0.000 0.014 0.047
O1 O 0.000 0.258 0.322
```